For KW4S8, a structure optimized by DFT (GGA-PBE) gives the theoretical X-ray diffraction stick pattern in this record (Cu Kα, 1.54184 Å).
Neutral-atom scattering factors, no anomalous dispersion.

```
13
Lattice="8.4324 -1.6311 0.0000 8.4324 1.6311 0.0000 -7.8662 0.0000 8.8244" Properties=species:S:1:pos:R:3 pbc="T T T"
K 0.0000 0.0000 0.0000
W -0.9003 0.0000 4.2490
W 4.2648 0.0000 1.1953
W 4.7338 0.0000 7.6291
W 9.8989 0.0000 4.5754
S -5.0706 0.0000 6.4925
S -2.0245 0.0000 8.2100
S 0.5727 0.0000 6.1244
S 2.9258 0.0000 3.5328
S 6.0728 0.0000 5.2916
S 8.4259 0.0000 2.7000
S 11.0231 0.0000 0.6144
S 14.0692 0.0000 2.3319
```

Top 10 peaks for 10 to 90 degrees two-theta, low angle first:
| two_theta | I (rel.) |
| --- | --- |
| 14.07 | 90 |
| 15.01 | 100 |
| 31.65 | 29 |
| 31.97 | 64 |
| 32.31 | 33 |
| 40.29 | 44 |
| 40.82 | 33 |
| 41.64 | 36 |
| 42.15 | 49 |
| 54.57 | 25 |

=====

For Ta3Mo5, a structure optimized by DFT (GGA-PBE) gives the theoretical X-ray diffraction stick pattern in this record (Cu Kα, 1.54184 Å).
Neutral-atom scattering factors, no anomalous dispersion.

```
8
Lattice="5.3283 0.0000 0.0000 -0.4495 5.3163 0.0000 -2.4531 -0.7355 4.6897" Properties=species:S:1:pos:R:3 pbc="T T T"
Ta 0.0000 0.0000 0.0000
Ta -0.9587 0.9069 2.9090
Ta 3.3844 3.6739 1.7807
Mo 0.5186 2.4919 1.1471
Mo -0.4662 3.3576 4.0989
Mo 1.4376 -0.3678 2.3449
Mo 2.8919 1.2231 0.5908
Mo 1.9071 2.0889 3.5426
```

Top 10 peaks for 10 to 90 degrees two-theta, low angle first:
| two_theta | I (rel.) |
| --- | --- |
| 39.47 | 34 |
| 39.57 | 67 |
| 39.77 | 100 |
| 57.29 | 23 |
| 57.41 | 11 |
| 71.51 | 11 |
| 71.91 | 11 |
| 72.08 | 17 |
| 72.19 | 23 |
| 85.74 | 11 |

=====

For Pr3Dy6Y2, a structure optimized by DFT (GGA-PBE) gives the theoretical X-ray diffraction stick pattern in this record (Cu Kα, 1.54184 Å).
Neutral-atom scattering factors, no anomalous dispersion.

```
11
Lattice="2.8752 -6.1098 0.0000 2.8752 6.1098 0.0000 -0.0093 0.0000 10.4972" Properties=species:S:1:pos:R:3 pbc="T T T"
Pr 0.0000 0.0000 0.0000
Pr 2.8752 2.5188 0.0000
Pr 2.8752 -2.5188 0.0000
Dy 2.8688 4.2825 3.1838
Dy 2.8723 4.2825 7.3133
Dy 2.8692 0.0000 2.2107
Dy 2.8719 0.0000 8.2864
Dy 2.8688 -4.2825 3.1838
Dy 2.8723 -4.2825 7.3133
Y 2.8706 1.6254 5.2486
Y 2.8706 -1.6254 5.2486
```

Top 10 peaks for 10 to 90 degrees two-theta, low angle first:
| two_theta | I (rel.) |
| --- | --- |
| 30.48 | 17 |
| 30.79 | 36 |
| 31.11 | 42 |
| 31.87 | 100 |
| 34.17 | 11 |
| 44.11 | 13 |
| 52.92 | 12 |
| 55.80 | 11 |
| 61.51 | 17 |
| 62.67 | 15 |